Starting from a GGA-PBE-relaxed structure, the X-ray powder pattern of SrBi2O4 was simulated for Cu Kα X-rays.
No peak broadening, texture or thermal motion is included.

Principal peaks in the range 5° ≤ 2θ ≤ 70°, low angle first:
| two_theta | d_spacing | Rel. int. | hkl |
| --- | --- | --- | --- |
| 17.6 | 5.030 | 27 | 4 0 0 |
| 25.3 | 3.517 | 32 | 1 1 1 |
| 26.6 | 3.353 | 51 | 6 0 0 |
| 27.2 | 3.278 | 100 | 3 1 -1 |
| 27.9 | 3.196 | 27 | 0 0 2 |
| 28.8 | 3.096 | 50 | 3 1 1 |
| 36.4 | 2.468 | 19 | 6 0 -2 |
| 41.2 | 2.193 | 23 | 0 2 0 |
| 46.3 | 1.963 | 24 | 9 1 -1 |
| 49.7 | 1.835 | 23 | 6 2 0 |

Crystal structure
abc: 20.269 4.386 6.440
angles: 90.00 96.97 90.00
Space group C2/m (No. 12)
Symmetry-distinct sites (fractional):
Sr 0.241 0.000 0.254 [4 per cell]
Bi 0.086 0.500 0.277 [4 per cell]
Bi 0.099 0.000 0.841 [4 per cell]
O 0.091 0.500 0.941 [4 per cell]
O 0.098 0.000 0.180 [4 per cell]
O 0.185 0.500 0.403 [4 per cell]
O 0.201 0.000 0.864 [4 per cell]